# Rb4WO5
Theoretical powder X-ray diffraction pattern, λ = 1.5418 Å (Cu Kα). Input: a cell relaxed with GGA+U.
Peak positions follow from Bragg's law for the DFT cell and can differ from measured ones.

Structural model:
```
data_Rb4WO5
_cell_length_a 6.6689
_cell_length_b 10.8379
_cell_length_c 18.0477
_cell_angle_alpha 94.53
_cell_angle_beta 91.99
_cell_angle_gamma 96.48
_symmetry_space_group_name_H-M 'P -1'
_symmetry_Int_Tables_number 2
loop_
_symmetry_equiv_pos_as_xyz
'x,y,z'
'-x,-y,-z'
loop_
_atom_site_label
_atom_site_fract_x
_atom_site_fract_y
_atom_site_fract_z
Rb1 0.0117 0.0121 0.1797
Rb2 0.0546 0.5827 0.4154
Rb3 0.0634 0.3535 0.2198
Rb4 0.0738 0.1964 0.0075
Rb5 0.2323 0.9493 0.4322
Rb6 0.2361 0.5419 0.0585
Rb7 0.2642 0.4022 0.8492
Rb8 0.2845 0.1136 0.6581
Rb9 0.4384 0.9117 0.0934
Rb10 0.4555 0.1597 0.2876
Rb11 0.4574 0.2950 0.4909
Rb12 0.4618 0.5019 0.6796
W1 0.0628 0.7730 0.5957
W2 0.2190 0.7349 0.2484
W3 0.4027 0.7412 0.9022
O1 0.0381 0.3036 0.7139
O2 0.0469 0.8725 0.6855
O3 0.0688 0.1841 0.4907
O4 0.0970 0.7602 0.1510
O5 0.1545 0.6360 0.9229
O6 0.1765 0.3347 0.3792
O7 0.2079 0.6328 0.5861
O8 0.2752 0.8863 0.9225
O9 0.3100 0.8782 0.5747
O10 0.3375 0.5985 0.2072
O11 0.3498 0.1610 0.1234
O12 0.3520 0.7209 0.3455
O13 0.3524 0.8996 0.2511
O14 0.3829 0.6587 0.8057
O15 0.4619 0.3170 0.0162
```

Largest 6 diffraction maxima, sorted by position, 10 to 80 degrees two-theta:
| d (Å) | Position (°2θ) | Rel. int. |
| --- | --- | --- |
| 3.214 | 27.8 | 100 |
| 3.191 | 28.0 | 48 |
| 3.172 | 28.1 | 44 |
| 3.053 | 29.2 | 55 |
| 2.683 | 33.4 | 41 |
| 2.626 | 34.1 | 39 |